This entry pairs a crystal structure of LiCo5O3F5 with its computed X-ray diffraction stick pattern. Radiation: Cu Kα, 1.54184 Å. Structure: a DFT-relaxed cell (PBE+U, Alexandria).
No peak broadening, texture or thermal motion is included.

Largest 8 diffraction maxima, by angle, 15 to 90 degrees two-theta:
d_spacing, 2θ/deg, intensity
3.073, 29.05, 41
3.045, 29.33, 22
2.642, 33.93, 47
2.600, 34.50, 100
2.151, 41.99, 19
1.658, 55.43, 28
1.539, 60.13, 23
1.536, 60.23, 19

Structural model:
Lattice parameters (Å, degrees): 6.147 6.147 6.091 119.59 119.59 59.27
Fractional coordinates of all 14 atoms:
1 Li 0.000 0.000 0.000
2 Co 0.002 0.476 0.999
3 Co 0.332 0.332 0.587
4 Co 0.476 0.002 0.999
5 Co 0.634 0.634 0.350
6 Co 0.988 0.988 0.488
7 O 0.212 0.212 0.736
8 O 0.227 0.227 0.211
9 O 0.762 0.762 0.224
10 F 0.225 0.742 0.742
11 F 0.233 0.746 0.227
12 F 0.742 0.225 0.742
13 F 0.746 0.233 0.227
14 F 0.747 0.747 0.751